# 1
Rb2NaVF6: calculated X-ray diffraction stick pattern (CuKα), based on a cell relaxed with PBE+U.

Cell and atoms:
```
data_Rb2NaVF6
_chemical_formula_sum 'Rb8 Na4 V4 F24'
_symmetry_space_group_name_H-M 'F m -3 m'
_symmetry_Int_Tables_number 225
_symmetry_space_group_name_Hall '-F 4 2 3'
_cell_length_a 8.632
_cell_length_b 8.632
_cell_length_c 8.632
_cell_angle_alpha 90.00
_cell_angle_beta 90.00
_cell_angle_gamma 90.00
loop_
_atom_site_label
_atom_site_type_symbol
_atom_site_fract_x
_atom_site_fract_y
_atom_site_fract_z
Rb1 Rb 0.250 0.250 0.250
Na1 Na 0.000 0.000 0.000
V1 V 0.000 0.000 0.500
F1 F 0.000 0.000 0.270
```

Main lines, by angle (5 to 70 degrees two-theta):
- hkl 1 1 1, 2θ 17.80, d 4.984, intensity 9
- hkl 2 0 0, 2θ 20.58, d 4.316, intensity 8
- hkl 2 2 0, 2θ 29.26, d 3.052, intensity 100
- hkl 2 2 2, 2θ 36.04, d 2.492, intensity 39
- hkl 4 0 0, 2θ 41.86, d 2.158, intensity 53
- hkl 4 2 0, 2θ 47.08, d 1.930, intensity 5
- hkl 4 2 2, 2θ 51.89, d 1.762, intensity 38
- hkl 4 4 0, 2θ 60.69, d 1.526, intensity 31
- hkl 4 4 2, 2θ 64.81, d 1.439, intensity 3
- hkl 6 2 0, 2θ 68.78, d 1.365, intensity 18

# 2
CaFeP2O7: calculated X-ray diffraction stick pattern (CuKα), based on a cell relaxed with PBE+U.

Cell and atoms:
```
data_CaFeP2O7
_chemical_formula_sum 'Ca4 Fe4 P8 O28'
_symmetry_space_group_name_H-M 'P 1 21/c 1'
_symmetry_Int_Tables_number 14
_symmetry_space_group_name_Hall '-P 2ybc'
_cell_length_a 7.455
_cell_length_b 8.872
_cell_length_c 9.264
_cell_angle_alpha 90.00
_cell_angle_beta 117.33
_cell_angle_gamma 90.00
loop_
_atom_site_label
_atom_site_type_symbol
_atom_site_fract_x
_atom_site_fract_y
_atom_site_fract_z
Ca1 Ca 0.229 0.050 0.372
Fe1 Fe 0.271 0.073 0.886
P1 P 0.029 0.744 0.964
P2 P 0.451 0.726 0.262
O1 O 0.032 0.108 0.653
O2 O 0.060 0.611 0.390
O3 O 0.110 0.240 0.956
O4 O 0.243 0.680 0.103
O5 O 0.396 0.235 0.305
O6 O 0.427 0.629 0.839
O7 O 0.488 0.588 0.375
```

Main lines, by angle (5 to 70 degrees two-theta):
- hkl 2 1 -2, 2θ 27.57, d 3.235, intensity 58
- hkl 1 2 -2, 2θ 28.07, d 3.179, intensity 100
- hkl 1 0 2, 2θ 30.38, d 2.942, intensity 72
- hkl 1 3 0, 2θ 33.18, d 2.700, intensity 20
- hkl 2 2 0, 2θ 33.78, d 2.654, intensity 32
- hkl 2 3 -2, 2θ 40.04, d 2.252, intensity 28
- hkl 0 2 4, 2θ 48.79, d 1.867, intensity 16
- hkl 4 0 -4, 2θ 52.72, d 1.736, intensity 21
- hkl 3 3 -4, 2θ 54.57, d 1.682, intensity 19
- hkl 2 3 -6, 2θ 68.64, d 1.367, intensity 13

# 3
BaCrO3: calculated X-ray diffraction stick pattern (CuKα), based on a cell relaxed with PBE+U.

Cell and atoms:
```
data_BaCrO3
_chemical_formula_sum 'Ba6 Cr6 O18'
_symmetry_space_group_name_H-M 'P 63/m m c'
_symmetry_Int_Tables_number 194
_symmetry_space_group_name_Hall '-P 6c 2c'
_cell_length_a 5.7282
_cell_length_b 5.7282
_cell_length_c 13.9520
_cell_angle_alpha 90.00
_cell_angle_beta 90.00
_cell_angle_gamma 120.00
loop_
_atom_site_label
_atom_site_type_symbol
_atom_site_fract_x
_atom_site_fract_y
_atom_site_fract_z
Ba1 Ba 0.0000 0.0000 0.2500
Ba2 Ba 0.3333 0.6667 0.0920
Cr1 Cr 0.0000 0.0000 0.0000
Cr2 Cr 0.3333 0.6667 0.6543
O1 O 0.0413 0.5206 0.7500
O2 O 0.1698 0.3395 0.5817
```

Main lines, by angle (5 to 70 degrees two-theta):
- hkl 1 0 2, 2θ 21.99, d 4.043, intensity 13
- hkl 1 0 3, 2θ 26.27, d 3.393, intensity 39
- hkl 1 1 0, 2θ 31.23, d 2.864, intensity 100
- hkl 1 0 4, 2θ 31.35, d 2.853, intensity 65
- hkl 2 0 2, 2θ 38.52, d 2.337, intensity 14
- hkl 0 0 6, 2θ 38.72, d 2.325, intensity 10
- hkl 2 0 3, 2θ 41.25, d 2.189, intensity 29
- hkl 2 0 4, 2θ 44.84, d 2.021, intensity 40
- hkl 3 0 0, 2θ 55.62, d 1.652, intensity 43
- hkl 2 2 0, 2θ 65.14, d 1.432, intensity 19

# 4
UCoO4: calculated X-ray diffraction stick pattern (CuKα), based on a cell relaxed with PBE+U.

Cell and atoms:
```
data_UCoO4
_chemical_formula_sum 'U4 Co4 O16'
_symmetry_space_group_name_H-M 'I m m a'
_symmetry_Int_Tables_number 74
_symmetry_space_group_name_Hall '-I 2b 2'
_cell_length_a 6.596
_cell_length_b 7.000
_cell_length_c 6.585
_cell_angle_alpha 90.00
_cell_angle_beta 90.00
_cell_angle_gamma 90.00
loop_
_atom_site_label
_atom_site_type_symbol
_atom_site_fract_x
_atom_site_fract_y
_atom_site_fract_z
U1 U 0.000 0.250 0.023
Co1 Co 0.000 0.000 0.500
O1 O 0.000 0.017 0.806
O2 O 0.201 0.250 0.478
```

Main lines, by angle (5 to 70 degrees two-theta):
- hkl 1 0 1, 2θ 19.04, d 4.660, intensity 64
- hkl 0 2 0, 2θ 25.45, d 3.500, intensity 17
- hkl 2 0 0, 2θ 27.06, d 3.295, intensity 92
- hkl 1 2 1, 2θ 31.98, d 2.799, intensity 100
- hkl 0 2 2, 2θ 37.50, d 2.399, intensity 26
- hkl 2 0 2, 2θ 38.64, d 2.330, intensity 23
- hkl 3 0 1, 2θ 43.40, d 2.085, intensity 16
- hkl 3 2 1, 2θ 51.00, d 1.791, intensity 66
- hkl 2 4 0, 2θ 59.84, d 1.546, intensity 20
- hkl 3 2 3, 2θ 65.77, d 1.420, intensity 17